[1]
Starting from a crystal structure in Alexandria, relaxed with PBE, the powder X-ray diffraction pattern of Ge11N11O5 was calculated for Cu Kα X-rays.
Neutral-atom scattering factors, no anomalous dispersion.

Most intense lines, 15 to 90 degrees two-theta, in order of falling intensity:
35.56 deg, d = 2.525 Å, rel. 100; 62.76 deg, d = 1.481 Å, rel. 43; 18.37 deg, d = 4.830 Å, rel. 39; 35.66 deg, d = 2.518 Å, rel. 37; 37.21 deg, d = 2.416 Å, rel. 24; 43.20 deg, d = 2.094 Å, rel. 23

```
Ge11N11O5
1.0
5.127 -2.962 0.000
5.127 2.962 0.000
-3.358 0.000 9.635
Ge N O
11 11 5
Cartesian
0.000 0.000 0.000
0.044 0.000 5.370
2.594 1.459 7.098
1.757 0.000 2.360
4.344 1.495 2.379
0.180 0.000 9.036
3.489 0.000 4.737
2.594 -1.459 7.098
5.200 0.000 7.159
4.344 -1.495 2.379
6.903 0.000 4.102
1.055 1.611 8.366
0.061 0.000 3.476
2.679 1.389 3.488
1.857 0.000 5.981
3.496 0.000 1.308
4.281 1.397 6.014
2.679 -1.389 3.488
5.091 0.000 3.494
1.055 -1.611 8.366
4.281 -1.397 6.014
6.907 0.000 6.062
-1.731 0.000 8.376
5.927 1.683 1.233
3.483 0.000 8.074
8.806 0.000 1.257
5.927 -1.683 1.233
```

[2]
Starting from a crystal structure in Alexandria, relaxed with PBE, the powder X-ray diffraction pattern of Ge11N11O5 was calculated for Cu Kα X-rays.
Neutral-atom scattering factors, no anomalous dispersion.

Most intense lines, 15 to 90 degrees two-theta, in order of falling intensity:
35.56 deg, d = 2.524 Å, rel. 100; 35.65 deg, d = 2.519 Å, rel. 97; 18.38 deg, d = 4.826 Å, rel. 61; 62.78 deg, d = 1.480 Å, rel. 52; 37.31 deg, d = 2.410 Å, rel. 39; 35.72 deg, d = 2.514 Å, rel. 39

```
Ge11N11O5
1.0
5.136 -2.945 0.000
5.136 2.945 0.000
-3.414 0.000 9.651
Ge N O
11 11 5
Cartesian
0.000 0.000 0.000
-0.008 0.000 5.417
4.234 1.509 2.367
1.668 0.000 2.419
2.577 1.476 7.230
0.008 0.000 9.058
3.352 0.000 4.834
4.234 -1.509 2.367
2.577 -1.476 7.230
5.156 0.000 7.197
6.908 0.000 4.218
-1.820 0.000 8.435
0.925 1.575 8.425
-0.015 0.000 3.513
2.647 1.367 3.542
3.410 0.000 1.325
1.805 0.000 6.057
4.236 1.373 6.034
2.647 -1.367 3.542
0.925 -1.575 8.425
4.236 -1.373 6.034
6.886 0.000 6.164
5.851 1.654 1.304
5.009 0.000 3.502
3.437 0.000 8.146
5.851 -1.654 1.304
8.741 0.000 1.267
```

[3]
Starting from a crystal structure in Alexandria, relaxed with PBE, the powder X-ray diffraction pattern of Ge11N11O5 was calculated for Cu Kα X-rays.
Neutral-atom scattering factors, no anomalous dispersion.

Most intense lines, 15 to 90 degrees two-theta, in order of falling intensity:
35.63 deg, d = 2.520 Å, rel. 100; 62.91 deg, d = 1.477 Å, rel. 43; 57.28 deg, d = 1.608 Å, rel. 37; 18.39 deg, d = 4.825 Å, rel. 25; 43.31 deg, d = 2.089 Å, rel. 23; 37.27 deg, d = 2.413 Å, rel. 21

```
Ge11N11O5
1.0
2.956 1.707 9.640
-2.956 1.707 9.640
0.000 -3.413 9.640
Ge N O
11 11 5
Cartesian
0.000 0.000 0.000
-1.475 -0.852 11.403
0.000 -1.649 6.497
-1.428 0.824 6.497
0.000 0.000 3.494
0.000 0.000 8.943
0.000 0.000 14.429
1.428 0.824 6.497
1.475 -0.852 11.403
0.000 1.704 11.403
0.000 0.000 23.434
-1.579 -0.912 15.101
0.000 0.000 5.398
0.000 -1.582 10.186
-1.370 0.791 10.186
0.000 0.000 12.484
-1.388 -0.801 22.201
1.370 0.791 10.186
1.579 -0.912 15.101
0.000 1.823 15.101
1.388 -0.801 22.201
0.000 1.602 22.201
0.000 -1.930 17.292
-1.672 0.965 17.292
0.000 0.000 20.102
0.000 0.000 26.994
1.672 0.965 17.292
```

[4]
Starting from a crystal structure in Alexandria, relaxed with PBE, the powder X-ray diffraction pattern of SiGeN2O was calculated for Cu Kα X-rays.
Neutral-atom scattering factors, no anomalous dispersion.

Most intense lines, 15 to 90 degrees two-theta, in order of falling intensity:
25.54 deg, d = 3.488 Å, rel. 100; 19.24 deg, d = 4.613 Å, rel. 80; 18.36 deg, d = 4.832 Å, rel. 72; 36.31 deg, d = 2.474 Å, rel. 49; 35.74 deg, d = 2.512 Å, rel. 40; 37.72 deg, d = 2.385 Å, rel. 24

```
SiGeN2O
1.0
5.409 0.000 0.000
0.000 5.024 0.000
-2.440 0.000 4.849
Si Ge N O
2 2 4 2
Cartesian
0.848 0.000 0.112
2.121 2.512 4.737
1.784 2.520 1.566
1.185 0.008 3.283
0.610 1.697 0.395
1.384 4.309 1.603
1.585 1.797 3.246
2.358 4.209 4.454
-0.479 4.697 3.801
3.448 2.185 1.048
```

[5]
Starting from a crystal structure in Alexandria, relaxed with PBE, the powder X-ray diffraction pattern of ZnGeNO2 was calculated for Cu Kα X-rays.
Neutral-atom scattering factors, no anomalous dispersion.

Most intense lines, 15 to 90 degrees two-theta, in order of falling intensity:
33.45 deg, d = 2.679 Å, rel. 100; 33.95 deg, d = 2.640 Å, rel. 44; 60.44 deg, d = 1.532 Å, rel. 36; 48.78 deg, d = 1.867 Å, rel. 34; 70.28 deg, d = 1.339 Å, rel. 20; 47.28 deg, d = 1.923 Å, rel. 19

```
ZnGeNO2
1.0
3.734 0.000 0.000
0.000 3.734 0.000
0.000 0.000 3.845
Zn Ge N O
1 1 1 2
Cartesian
0.000 0.000 0.000
1.867 1.867 1.923
1.867 1.867 0.000
0.000 1.867 1.923
1.867 0.000 1.923
```

[6]
Starting from a crystal structure in Alexandria, relaxed with PBE, the powder X-ray diffraction pattern of Pa3GeP4N12 was calculated for Cu Kα X-rays.
Neutral-atom scattering factors, no anomalous dispersion.

Most intense lines, 15 to 90 degrees two-theta, in order of falling intensity:
27.87 deg, d = 3.201 Å, rel. 100; 21.43 deg, d = 4.146 Å, rel. 78; 32.93 deg, d = 2.720 Å, rel. 37; 16.29 deg, d = 5.440 Å, rel. 33; 27.04 deg, d = 3.297 Å, rel. 26; 40.22 deg, d = 2.242 Å, rel. 25

```
Pa3GeP4N12
1.0
5.440 3.141 2.909
-5.440 3.141 2.909
0.000 -6.282 2.909
Pa Ge P N
3 1 4 12
Cartesian
-2.940 -1.189 2.909
2.500 -1.952 2.909
0.441 3.141 2.909
0.000 0.000 0.000
-2.494 -4.319 4.364
0.000 0.000 4.364
-2.494 4.319 4.364
4.987 0.000 4.364
-3.314 -2.971 4.235
-4.297 0.000 4.364
-0.916 -4.356 4.492
-1.584 0.000 4.364
-3.314 2.971 4.492
2.148 -3.721 4.364
0.792 -1.372 4.364
-0.916 4.356 4.235
0.792 1.372 4.364
4.230 -1.385 4.235
2.148 3.721 4.364
4.230 1.385 4.492
```